Theoretical powder XRD pattern of Pm5Sm3Sb8 for Cu Kα X-rays, from the GGA-PBE geometry in Alexandria.
No peak broadening, texture or thermal motion is included.

Peak list (9 most intense, 2θ = 10–90°, sorted by position)
2θ (°), I (rel.)
24.3, 2
28.1, 100
40.2, 76
47.5, 1
49.8, 27
58.2, 13
65.8, 35
73.1, 26
86.9, 8

Cell and atoms:
```
Pm5Sm3Sb8
1.0
4.485 2.590 7.324
-4.485 2.590 7.324
0.000 -5.179 7.324
Pm Sm Sb
5 3 8
direct
0.000 0.000 0.000
0.000 0.500 0.500
0.500 0.000 0.500
0.500 0.500 0.000
0.500 0.500 0.500
0.000 0.000 0.500
0.000 0.500 0.000
0.500 0.000 0.000
0.249 0.750 0.750
0.250 0.250 0.250
0.250 0.250 0.751
0.250 0.751 0.250
0.750 0.249 0.750
0.750 0.750 0.249
0.750 0.750 0.750
0.751 0.250 0.250
```